No. 1
Theoretical powder X-ray diffraction pattern of Mg6TiBi for a wavelength of 1.5418 Å, from the GGA-PBE geometry in the Materials Project.
Intensities are scaled so that the largest is 100.

The 10 most intense peaks (2θ from 10° to 80°), low angle first:
2θ (°)	I/Imax
15.86	52
16.56	100
23.04	45
23.50	54
32.77	23
33.39	32
33.57	36
36.30	47
37.51	85
48.08	23

Atomic structure:
Lattice parameters (Å, degrees): 5.339 6.120 11.173 90.00 90.00 90.00
Atoms (fractional coordinates):
1 Mg 0.000 0.000 0.000
2 Mg 0.000 0.000 0.492
3 Mg 0.000 0.240 0.245
4 Mg 0.000 0.260 0.745
5 Mg 0.000 0.500 0.500
6 Mg 0.000 0.500 0.992
7 Mg 0.000 0.740 0.745
8 Mg 0.000 0.760 0.245
9 Mg 0.500 0.248 0.579
10 Mg 0.500 0.252 0.079
11 Mg 0.500 0.748 0.079
12 Mg 0.500 0.752 0.579
13 Ti 0.500 0.000 0.329
14 Ti 0.500 0.500 0.829
15 Bi 0.500 0.000 0.830
16 Bi 0.500 0.500 0.330

***

No. 2
Theoretical powder X-ray diffraction pattern of Rb3Cu8S6 for a wavelength of 1.5418 Å, from the GGA-PBE geometry in the Materials Project.
Intensities are scaled so that the largest is 100.

The 10 most intense peaks (2θ from 10° to 80°), low angle first:
2θ (°)	I/Imax
11.80	91
24.90	32
29.89	33
31.16	40
35.02	100
37.90	73
47.19	41
47.97	34
51.52	34
52.27	29

Atomic structure:
Lattice parameters (Å, degrees): 9.120 9.120 10.015 105.35 105.35 24.38
Atoms (fractional coordinates):
1 Rb 0.000 0.000 0.000
2 Rb 0.190 0.190 0.302
3 Rb 0.810 0.810 0.698
4 Cu 0.020 0.020 0.644
5 Cu 0.203 0.203 0.938
6 Cu 0.393 0.393 0.216
7 Cu 0.413 0.413 0.475
8 Cu 0.587 0.587 0.525
9 Cu 0.607 0.607 0.784
10 Cu 0.797 0.797 0.062
11 Cu 0.980 0.980 0.356
12 S 0.151 0.151 0.642
13 S 0.342 0.342 0.985
14 S 0.466 0.466 0.706
15 S 0.534 0.534 0.294
16 S 0.658 0.658 0.015
17 S 0.849 0.849 0.358

***

No. 3
Theoretical powder X-ray diffraction pattern of La3PI3 for a wavelength of 1.5418 Å, from the GGA-PBE geometry in the Materials Project.
Intensities are scaled so that the largest is 100.

The 10 most intense peaks (2θ from 10° to 80°), low angle first:
2θ (°)	I/Imax
26.55	39
28.42	100
33.46	23
40.63	69
50.33	23
53.62	19
57.80	15
58.82	10
66.60	24
73.94	16

Atomic structure:
Lattice parameters (Å, degrees): 10.877 10.877 10.877 109.47 109.47 109.47
Atoms (fractional coordinates):
1 La 0.018 0.037 0.268
2 La 0.018 0.482 0.750
3 La 0.037 0.268 0.018
4 La 0.232 0.268 0.750
5 La 0.232 0.463 0.482
6 La 0.268 0.018 0.037
7 La 0.268 0.750 0.232
8 La 0.463 0.482 0.232
9 La 0.482 0.232 0.463
10 La 0.482 0.750 0.018
11 La 0.750 0.018 0.482
12 La 0.750 0.232 0.268
13 P 0.000 0.250 0.500
14 P 0.250 0.250 0.250
15 P 0.250 0.500 0.000
16 P 0.500 0.000 0.250
17 I 0.250 0.759 0.741
18 I 0.250 0.991 0.509
19 I 0.509 0.250 0.991
20 I 0.509 0.759 0.518
21 I 0.518 0.509 0.759
22 I 0.741 0.250 0.759
23 I 0.741 0.991 0.982
24 I 0.759 0.518 0.509
25 I 0.759 0.741 0.250
26 I 0.982 0.741 0.991
27 I 0.991 0.509 0.250
28 I 0.991 0.982 0.741

***

No. 4
Theoretical powder X-ray diffraction pattern of Ho2Fe9Si3 for a wavelength of 1.5418 Å, from the GGA-PBE geometry in the Materials Project.
Intensities are scaled so that the largest is 100.

The 10 most intense peaks (2θ from 10° to 80°), low angle first:
2θ (°)	I/Imax
25.21	26
26.53	55
36.82	100
37.02	86
40.23	48
40.51	38
43.45	28
47.01	25
47.25	23
47.62	44

Atomic structure:
Lattice parameters (Å, degrees): 3.819 7.066 7.066 89.38 90.00 90.00
Atoms (fractional coordinates):
1 Ho 0.000 0.000 0.000
2 Ho 0.500 0.491 0.491
3 Fe 0.000 0.144 0.590
4 Fe 0.000 0.278 0.278
5 Fe 0.000 0.403 0.852
6 Fe 0.000 0.590 0.144
7 Fe 0.000 0.852 0.403
8 Fe 0.500 0.082 0.337
9 Fe 0.500 0.337 0.082
10 Fe 0.500 0.644 0.908
11 Fe 0.500 0.908 0.644
12 Si 0.000 0.714 0.714
13 Si 0.500 0.212 0.778
14 Si 0.500 0.778 0.212

***

No. 5
Theoretical powder X-ray diffraction pattern of CuPb3Cl2O4 for a wavelength of 1.5418 Å, from the GGA-PBE geometry in the Materials Project.
Intensities are scaled so that the largest is 100.

The 10 most intense peaks (2θ from 10° to 80°), low angle first:
2θ (°)	I/Imax
13.92	34
21.21	30
23.51	45
23.75	49
30.69	96
31.25	95
32.11	100
33.58	29
43.19	29
46.05	32

Atomic structure:
Lattice parameters (Å, degrees): 7.014 5.567 10.392 90.00 102.86 90.00
Atoms (fractional coordinates):
1 Cu 0.000 0.000 0.000
2 Cu 0.000 0.500 0.000
3 Pb 0.108 0.250 0.312
4 Pb 0.360 0.750 0.544
5 Pb 0.448 0.750 0.192
6 Pb 0.552 0.250 0.808
7 Pb 0.640 0.250 0.456
8 Pb 0.892 0.750 0.688
9 Cl 0.124 0.250 0.611
10 Cl 0.343 0.750 0.861
11 Cl 0.657 0.250 0.139
12 Cl 0.876 0.750 0.389
13 O 0.100 0.750 0.114
14 O 0.146 0.250 0.091
15 O 0.382 0.501 0.367
16 O 0.382 0.999 0.367
17 O 0.618 0.001 0.633
18 O 0.618 0.499 0.633
19 O 0.854 0.750 0.909
20 O 0.900 0.250 0.886

***

No. 6
Theoretical powder X-ray diffraction pattern of Ca3Sn2S7 for a wavelength of 1.5418 Å, from the GGA-PBE geometry in the Materials Project.
Intensities are scaled so that the largest is 100.

The 10 most intense peaks (2θ from 10° to 80°), low angle first:
2θ (°)	I/Imax
15.10	61
18.12	69
25.17	79
26.03	66
35.89	100
38.95	61
44.87	33
51.66	33
53.54	30
54.00	57

Atomic structure:
Lattice parameters (Å, degrees): 12.255 12.255 12.255 156.44 156.44 33.57
Atoms (fractional coordinates):
1 Ca 0.000 0.000 0.000
2 Ca 0.172 0.172 0.000
3 Ca 0.828 0.828 0.000
4 Sn 0.389 0.389 0.000
5 Sn 0.611 0.611 0.000
6 S 0.090 0.590 0.500
7 S 0.287 0.287 0.000
8 S 0.410 0.910 0.500
9 S 0.500 0.500 0.000
10 S 0.590 0.090 0.500
11 S 0.713 0.713 0.000
12 S 0.910 0.410 0.500

***

No. 7
Theoretical powder X-ray diffraction pattern of LiSn2P3O12 for a wavelength of 1.5418 Å, from the GGA-PBE geometry in the Materials Project.
Intensities are scaled so that the largest is 100.

The 10 most intense peaks (2θ from 10° to 80°), low angle first:
2θ (°)	I/Imax
14.20	54
19.63	100
19.73	48
20.60	31
20.76	76
23.92	32
28.52	33
31.36	29
31.55	47
36.18	31

Atomic structure:
Lattice parameters (Å, degrees): 8.550 8.564 9.026 118.04 90.30 119.49
Atoms (fractional coordinates):
1 Li 0.227 0.252 0.076
2 Li 0.773 0.748 0.924
3 Sn 0.136 0.290 0.433
4 Sn 0.355 0.706 0.059
5 Sn 0.645 0.294 0.941
6 Sn 0.864 0.710 0.567
7 P 0.039 0.507 0.253
8 P 0.250 0.209 0.754
9 P 0.463 0.217 0.250
10 P 0.537 0.783 0.750
11 P 0.750 0.791 0.246
12 P 0.961 0.493 0.747
13 O 0.038 0.639 0.441
14 O 0.110 0.001 0.748
15 O 0.116 0.374 0.253
16 O 0.163 0.656 0.878
17 O 0.171 0.662 0.201
18 O 0.184 0.201 0.593
19 O 0.254 0.382 0.930
20 O 0.264 0.164 0.267
21 O 0.381 0.588 0.576
22 O 0.448 0.248 0.766
23 O 0.470 0.265 0.101
24 O 0.478 0.029 0.197
25 O 0.522 0.971 0.803
26 O 0.530 0.735 0.899
27 O 0.552 0.752 0.234
28 O 0.619 0.412 0.424
29 O 0.736 0.836 0.733
30 O 0.746 0.618 0.070
31 O 0.816 0.799 0.407
32 O 0.829 0.338 0.799
33 O 0.837 0.344 0.122
34 O 0.884 0.626 0.747
35 O 0.890 0.999 0.252
36 O 0.962 0.361 0.559

***

No. 8
Theoretical powder X-ray diffraction pattern of SnP4H8N2O13 for a wavelength of 1.5418 Å, from the GGA-PBE geometry in the Materials Project.
Intensities are scaled so that the largest is 100.

The 10 most intense peaks (2θ from 10° to 80°), low angle first:
2θ (°)	I/Imax
11.08	18
11.80	100
16.93	19
19.84	12
22.12	13
25.59	22
26.06	8
26.21	17
26.91	20
27.81	17

Atomic structure:
Lattice parameters (Å, degrees): 5.222 8.140 15.200 83.62 82.32 80.20
Atoms (fractional coordinates):
1 Sn 0.039 0.446 0.239
2 Sn 0.961 0.554 0.761
3 P 0.175 0.831 0.210
4 P 0.191 0.907 0.691
5 P 0.381 0.717 0.859
6 P 0.454 0.602 0.345
7 P 0.546 0.398 0.655
8 P 0.619 0.283 0.141
9 P 0.809 0.093 0.309
10 P 0.825 0.169 0.790
11 H 0.025 0.734 0.478
12 H 0.059 0.213 0.951
13 H 0.216 0.109 0.035
14 H 0.222 0.222 0.436
15 H 0.240 0.109 0.535
16 H 0.286 0.308 0.523
17 H 0.317 0.061 0.930
18 H 0.367 0.243 0.963
19 H 0.633 0.757 0.037
20 H 0.683 0.939 0.070
21 H 0.714 0.692 0.477
22 H 0.760 0.891 0.465
23 H 0.778 0.778 0.564
24 H 0.784 0.891 0.965
25 H 0.941 0.787 0.049
26 H 0.975 0.266 0.522
27 N 0.176 0.227 0.503
28 N 0.240 0.158 0.969
29 N 0.760 0.842 0.031
30 N 0.824 0.773 0.497
31 O 0.015 0.209 0.304
32 O 0.033 0.090 0.712
33 O 0.056 0.688 0.180
34 O 0.239 0.572 0.842
35 O 0.248 0.457 0.663
36 O 0.252 0.956 0.137
37 O 0.277 0.804 0.940
38 O 0.311 0.460 0.324
39 O 0.322 0.350 0.143
40 O 0.355 0.676 0.431
41 O 0.356 0.931 0.605
42 O 0.364 0.854 0.771
43 O 0.419 0.747 0.261
44 O 0.581 0.253 0.739
45 O 0.636 0.146 0.229
46 O 0.644 0.069 0.395
47 O 0.645 0.324 0.569
48 O 0.678 0.650 0.857
49 O 0.689 0.540 0.676
50 O 0.723 0.196 0.060
51 O 0.748 0.044 0.863
52 O 0.752 0.543 0.337
53 O 0.761 0.428 0.158
54 O 0.944 0.312 0.820
55 O 0.967 0.910 0.288
56 O 0.985 0.791 0.696

***

No. 9
Theoretical powder X-ray diffraction pattern of Th2FeSi3 for a wavelength of 1.5418 Å, from the GGA-PBE geometry in the Materials Project.
Intensities are scaled so that the largest is 100.

The 10 most intense peaks (2θ from 10° to 80°), low angle first:
2θ (°)	I/Imax
22.40	26
22.77	22
25.21	26
28.72	27
29.02	27
33.41	100
38.58	17
38.81	23
43.77	15
49.89	18

Atomic structure:
Lattice parameters (Å, degrees): 4.064 4.136 14.131 90.00 90.00 90.00
Atoms (fractional coordinates):
1 Th 0.000 0.000 0.000
2 Th 0.000 0.500 0.243
3 Th 0.500 0.000 0.743
4 Th 0.500 0.500 0.500
5 Fe 0.000 0.000 0.582
6 Fe 0.500 0.500 0.082
7 Si 0.000 0.000 0.421
8 Si 0.000 0.500 0.660
9 Si 0.000 0.500 0.830
10 Si 0.500 0.000 0.160
11 Si 0.500 0.000 0.330
12 Si 0.500 0.500 0.921

***

No. 10
Theoretical powder X-ray diffraction pattern of Tb2Mg3Ni2 for a wavelength of 1.5418 Å, from the GGA-PBE geometry in the Materials Project.
Intensities are scaled so that the largest is 100.

The 10 most intense peaks (2θ from 10° to 80°), low angle first:
2θ (°)	I/Imax
25.33	28
25.85	36
33.79	52
35.55	60
35.93	100
39.91	64
44.96	24
45.90	26
53.10	23
59.34	41

Atomic structure:
Lattice parameters (Å, degrees): 3.955 21.094 3.630 90.00 90.00 90.00
Atoms (fractional coordinates):
1 Tb 0.000 0.176 0.000
2 Tb 0.000 0.824 0.000
3 Tb 0.500 0.324 0.000
4 Tb 0.500 0.676 0.000
5 Mg 0.000 0.000 0.000
6 Mg 0.000 0.420 0.500
7 Mg 0.000 0.580 0.500
8 Mg 0.500 0.080 0.500
9 Mg 0.500 0.500 0.000
10 Mg 0.500 0.920 0.500
11 Ni 0.000 0.287 0.500
12 Ni 0.000 0.713 0.500
13 Ni 0.500 0.213 0.500
14 Ni 0.500 0.787 0.500